For MgCoSO, a GGA+U-relaxed structure gives the calculated PXRD pattern in this record (λ = 1.5418 Å (Cu Kα)).
Lines closer than 0.1° are merged.

Top 12 peaks for 2θ from 10° to 90°, by intensity:
25.97°, intensity 100, hkl 0 2 1
35.86°, intensity 63, hkl 1 2 1
34.18°, intensity 57, hkl 1 2 0
43.10°, intensity 51, hkl 0 0 4
24.30°, intensity 38, hkl 1 0 0
49.78°, intensity 33, hkl 2 0 0
53.41°, intensity 32, hkl 0 4 2
40.18°, intensity 30, hkl 0 2 3
47.51°, intensity 27, hkl 1 2 3
40.55°, intensity 27, hkl 1 2 2
59.51°, intensity 25, hkl 1 4 2
56.12°, intensity 23, hkl 1 2 4

Structural model:
```
data_MgCoSO
_chemical_formula_sum 'Mg4 Co4 S4 O4'
_space_group_name_H-M_alt 'P b c m'
_space_group_IT_number 57
_space_group_name_Hall '-P 2c 2b'
_cell_length_a 3.6635
_cell_length_b 7.5176
_cell_length_c 8.3950
_cell_angle_alpha 90.00
_cell_angle_beta 90.00
_cell_angle_gamma 90.00
loop_
_atom_site_label
_atom_site_fract_x
_atom_site_fract_y
_atom_site_fract_z
Mg1 0.0049 0.2500 0.0000
Co1 0.4937 0.6283 0.2500
S1 0.5000 0.0000 0.0000
O1 0.0039 0.2294 0.2500
```